Structure and simulated powder X-ray diffraction pattern of ZrRe2Cl (a DFT-relaxed cell (GGA-PBE, Alexandria); a wavelength of 1.5418 Å).
Lines closer than 0.1° are merged.

Cell and atoms:
abc: 3.041 3.054 15.315
angles: 90.00 90.00 90.00
Sites, in units of the cell vectors:
Zr 0.000 0.000 0.000
Zr 0.000 0.500 0.500
Re 0.000 0.000 0.227
Re 0.000 0.500 0.727
Re 0.500 0.000 0.635
Re 0.500 0.500 0.135
Cl 0.500 0.000 0.381
Cl 0.500 0.500 0.881

Largest 10 diffraction maxima, by intensity, 10 to 90 degrees two-theta:
2theta	intensity	h k l
11.6	100.0	0 0 2
42.4	58.3	1 1 1
37.8	54.0	1 0 4
41.8	35.7	0 1 5
34.2	31.3	0 1 3
73.7	15.1	1 2 4
70.5	13.2	1 1 9
46.4	12.1	1 0 6
76.6	12.1	2 1 5
23.2	10.5	0 0 4